Starting from a cell relaxed with GGA-PBE, the powder diffractogram of SrMg6Zn was simulated for a wavelength of 1.5418 Å.
Neutral-atom scattering factors, no anomalous dispersion.

Principal peaks in the range 10 to 80 degrees two-theta, low angle first:
2θ 13.66, d = 6.484 Å, I 35
2θ 17.42, d = 5.090 Å, I 29
2θ 22.20, d = 4.004 Å, I 26
2θ 30.69, d = 2.913 Å, I 47
2θ 31.86, d = 2.809 Å, I 36
2θ 32.75, d = 2.734 Å, I 48
2θ 35.27, d = 2.545 Å, I 44
2θ 36.54, d = 2.459 Å, I 100
2θ 37.56, d = 2.395 Å, I 25
2θ 48.26, d = 1.886 Å, I 22
2θ 52.47, d = 1.744 Å, I 18
2θ 64.13, d = 1.452 Å, I 21

Crystal structure
```
SrMg6Zn
1.0
5.0897 0.0000 0.0000
0.0000 3.1160 6.4842
0.0000 -3.1160 6.4842
Sr Mg Zn
1 6 1
Cartesian
0.0000 0.0000 0.0000
0.0000 -1.5143 9.5785
0.0000 1.5143 9.5785
2.5448 -1.5338 4.8809
2.5448 0.0000 2.1588
2.5448 0.0000 7.8452
2.5448 1.5338 4.8809
0.0000 0.0000 5.4810
```

---

Starting from a cell relaxed with GGA-PBE, the powder diffractogram of Ti3N2O3 was simulated for a wavelength of 1.5418 Å.
Neutral-atom scattering factors, no anomalous dispersion.

Principal peaks in the range 10 to 80 degrees two-theta, low angle first:
2θ 17.79, d = 4.987 Å, I 12
2θ 17.96, d = 4.938 Å, I 54
2θ 25.01, d = 3.560 Å, I 100
2θ 32.33, d = 2.769 Å, I 36
2θ 32.60, d = 2.747 Å, I 30
2θ 36.03, d = 2.493 Å, I 27
2θ 37.06, d = 2.426 Å, I 13
2θ 40.93, d = 2.205 Å, I 13
2θ 45.57, d = 1.991 Å, I 13
2θ 45.98, d = 1.974 Å, I 13
2θ 47.66, d = 1.908 Å, I 36
2θ 58.76, d = 1.571 Å, I 13

Crystal structure
```
Ti3N2O3
1.0
4.9385 -1.9083 0.0000
4.9385 1.9083 0.0000
-0.0876 0.0000 9.9732
Ti N O
6 4 6
Cartesian
0.0000 0.0000 0.0000
0.0506 0.0000 3.9405
2.7079 0.0000 5.0358
2.7677 0.0000 8.9655
3.2976 0.0000 2.0004
9.2377 0.0000 6.9721
1.8452 0.0000 3.3274
4.4417 0.0000 0.2870
8.1852 0.0000 8.7160
8.2374 0.0000 5.2573
0.8957 0.0000 8.3242
0.9308 0.0000 5.7142
1.8683 0.0000 0.6935
3.8026 0.0000 7.0291
4.5023 0.0000 3.7520
8.8522 0.0000 2.0938
```

---

Starting from a cell relaxed with GGA-PBE, the powder diffractogram of Dy5Co2B6 was simulated for a wavelength of 1.5418 Å.
Neutral-atom scattering factors, no anomalous dispersion.

Principal peaks in the range 10 to 80 degrees two-theta, low angle first:
2θ 22.80, d = 3.900 Å, I 21
2θ 26.98, d = 3.305 Å, I 22
2θ 32.96, d = 2.718 Å, I 34
2θ 33.24, d = 2.695 Å, I 100
2θ 36.24, d = 2.479 Å, I 19
2θ 40.69, d = 2.217 Å, I 39
2θ 47.51, d = 1.914 Å, I 12
2θ 58.41, d = 1.580 Å, I 22
2θ 59.22, d = 1.560 Å, I 13
2θ 59.40, d = 1.556 Å, I 22
2θ 69.79, d = 1.348 Å, I 12
2θ 78.67, d = 1.216 Å, I 11

Crystal structure
```
Dy5Co2B6
1.0
2.6951 1.5560 7.8001
-2.6951 1.5560 7.8001
0.0000 -3.1120 7.8001
Dy Co B
5 2 6
Cartesian
0.0000 0.0000 0.0000
0.0000 0.0000 5.8678
0.0000 0.0000 9.7554
0.0000 0.0000 13.6449
0.0000 0.0000 17.5325
0.0000 0.0000 2.8041
0.0000 0.0000 20.5962
-0.8934 -1.5474 11.7002
-1.7868 0.0000 11.7002
0.8934 -1.5474 11.7002
-0.8934 1.5474 11.7002
1.7868 0.0000 11.7002
0.8934 1.5474 11.7002
```

---

Starting from a cell relaxed with GGA-PBE, the powder diffractogram of Tl4S3 was simulated for a wavelength of 1.5418 Å.
Neutral-atom scattering factors, no anomalous dispersion.

Principal peaks in the range 10 to 80 degrees two-theta, low angle first:
2θ 22.89, d = 3.885 Å, I 27
2θ 23.22, d = 3.830 Å, I 17
2θ 25.77, d = 3.457 Å, I 79
2θ 26.28, d = 3.391 Å, I 100
2θ 27.18, d = 3.281 Å, I 80
2θ 27.58, d = 3.234 Å, I 68
2θ 27.71, d = 3.219 Å, I 40
2θ 30.21, d = 2.958 Å, I 34
2θ 39.10, d = 2.304 Å, I 32
2θ 40.89, d = 2.207 Å, I 16
2θ 43.93, d = 2.061 Å, I 26
2θ 48.30, d = 1.884 Å, I 22

Crystal structure
```
Tl4S3
1.0
8.3585 0.0000 0.0000
0.0000 13.1287 0.0000
-1.8758 0.0000 7.9202
Tl S
16 12
Cartesian
-0.2669 0.0245 2.1451
-1.2048 6.5398 6.1052
1.6561 2.9403 0.3174
0.7182 3.6241 4.2775
1.4336 9.3210 4.6294
2.3715 10.3721 0.6693
3.0299 7.0126 1.7702
2.0920 12.6805 5.7303
4.3907 0.4482 2.1899
3.4528 6.1161 6.1500
4.1112 2.7566 7.2509
5.0491 3.8077 3.2908
5.7645 9.5046 3.6426
4.8266 10.1884 7.6027
7.6875 6.5889 1.8150
6.7496 13.1042 5.7751
-0.3884 3.2436 1.9332
-1.3263 3.3207 5.8933
2.0860 0.3644 0.3392
1.1481 6.1999 4.2993
2.7599 2.1744 4.6274
3.6978 4.3900 0.6673
2.7849 8.7387 7.2529
3.7228 10.9543 3.2928
5.3346 6.9288 3.6209
4.3967 12.7643 7.5810
7.8090 9.8080 2.0268
6.8711 9.8851 5.9869
```

---

Starting from a cell relaxed with GGA-PBE, the powder diffractogram of Nd2Re2Si2C was simulated for a wavelength of 1.5418 Å.
Neutral-atom scattering factors, no anomalous dispersion.

Principal peaks in the range 10 to 80 degrees two-theta, low angle first:
2θ 15.65, d = 5.664 Å, I 32
2θ 25.14, d = 3.542 Å, I 18
2θ 32.55, d = 2.751 Å, I 40
2θ 32.74, d = 2.736 Å, I 100
2θ 34.57, d = 2.594 Å, I 91
2θ 37.79, d = 2.381 Å, I 25
2θ 39.38, d = 2.288 Å, I 27
2θ 44.50, d = 2.036 Å, I 27
2θ 56.20, d = 1.637 Å, I 18
2θ 56.98, d = 1.616 Å, I 16
2θ 60.56, d = 1.529 Å, I 17
2θ 60.91, d = 1.521 Å, I 15

Crystal structure
```
Nd2Re2Si2C
1.0
5.5821 -2.0361 0.0000
5.5821 2.0361 0.0000
-4.4170 0.0000 5.6639
Nd Re Si C
2 2 2 1
Cartesian
-0.5406 0.0000 1.7184
7.2878 0.0000 3.9455
-0.7271 0.0000 5.1695
7.4742 0.0000 0.4944
2.5797 0.0000 1.7116
4.1675 0.0000 3.9523
5.5821 0.0000 0.0000
```

---

Starting from a cell relaxed with GGA-PBE, the powder diffractogram of Nb4N5 was simulated for a wavelength of 1.5418 Å.
Neutral-atom scattering factors, no anomalous dispersion.

Principal peaks in the range 10 to 80 degrees two-theta, low angle first:
2θ 18.09, d = 4.905 Å, I 12
2θ 24.26, d = 3.668 Å, I 33
2θ 25.69, d = 3.468 Å, I 17
2θ 35.62, d = 2.520 Å, I 100
2θ 41.15, d = 2.193 Å, I 69
2θ 41.80, d = 2.161 Å, I 31
2θ 52.03, d = 1.758 Å, I 10
2θ 59.61, d = 1.551 Å, I 18
2θ 60.10, d = 1.539 Å, I 42
2θ 71.41, d = 1.321 Å, I 23
2θ 72.31, d = 1.307 Å, I 13
2θ 75.44, d = 1.260 Å, I 17

Crystal structure
```
Nb4N5
1.0
-3.4681 3.4681 2.1612
3.4681 -3.4681 2.1612
3.4681 3.4681 -2.1612
Nb N
4 5
Cartesian
1.9720 0.7276 0.0000
2.7405 -1.4961 2.1612
0.7276 4.9643 0.0000
1.4961 2.7405 2.1612
0.0000 0.0000 0.0000
4.1082 1.3449 0.0000
1.3449 2.8280 0.0000
2.1233 0.6401 2.1612
-0.6401 2.1233 2.1612
```

---

What did the fourth record say?
Starting from a cell relaxed with GGA-PBE, the powder diffractogram of Tl4S3 was simulated for a wavelength of 1.5418 Å.
Neutral-atom scattering factors, no anomalous dispersion.

Principal peaks in the range 10 to 80 degrees two-theta, low angle first:
2θ 22.89, d = 3.885 Å, I 27
2θ 23.22, d = 3.830 Å, I 17
2θ 25.77, d = 3.457 Å, I 79
2θ 26.28, d = 3.391 Å, I 100
2θ 27.18, d = 3.281 Å, I 80
2θ 27.58, d = 3.234 Å, I 68
2θ 27.71, d = 3.219 Å, I 40
2θ 30.21, d = 2.958 Å, I 34
2θ 39.10, d = 2.304 Å, I 32
2θ 40.89, d = 2.207 Å, I 16
2θ 43.93, d = 2.061 Å, I 26
2θ 48.30, d = 1.884 Å, I 22

Crystal structure
```
Tl4S3
1.0
8.3585 0.0000 0.0000
0.0000 13.1287 0.0000
-1.8758 0.0000 7.9202
Tl S
16 12
Cartesian
-0.2669 0.0245 2.1451
-1.2048 6.5398 6.1052
1.6561 2.9403 0.3174
0.7182 3.6241 4.2775
1.4336 9.3210 4.6294
2.3715 10.3721 0.6693
3.0299 7.0126 1.7702
2.0920 12.6805 5.7303
4.3907 0.4482 2.1899
3.4528 6.1161 6.1500
4.1112 2.7566 7.2509
5.0491 3.8077 3.2908
5.7645 9.5046 3.6426
4.8266 10.1884 7.6027
7.6875 6.5889 1.8150
6.7496 13.1042 5.7751
-0.3884 3.2436 1.9332
-1.3263 3.3207 5.8933
2.0860 0.3644 0.3392
1.1481 6.1999 4.2993
2.7599 2.1744 4.6274
3.6978 4.3900 0.6673
2.7849 8.7387 7.2529
3.7228 10.9543 3.2928
5.3346 6.9288 3.6209
4.3967 12.7643 7.5810
7.8090 9.8080 2.0268
6.8711 9.8851 5.9869
```